Diffraction record for RbCd3Cu4Cl12. The X-ray diffraction stick pattern is computed, not measured: it uses a GGA-PBE-relaxed structure and CuKα.
Neutral-atom scattering factors, no anomalous dispersion.

```
data_RbCd3Cu4Cl12
_cell_length_a 13.8050
_cell_length_b 13.8050
_cell_length_c 10.1602
_cell_angle_alpha 90.00
_cell_angle_beta 90.00
_cell_angle_gamma 120.00
_space_group_name_H-M_alt 'R 3 2'
_space_group_IT_number 155
_space_group_name_Hall 'R 3 2"'
loop_
_atom_site_label
_atom_site_fract_x
_atom_site_fract_y
_atom_site_fract_z
_atom_site_occupancy
Rb1 0.0000 0.0000 0.0000 1
Cd1 0.0000 0.5660 0.0000 1
Cu1 0.0000 0.0000 0.5000 1
Cu2 0.0000 0.4209 0.5000 1
Cl1 0.0000 0.5884 0.5000 1
Cl2 0.0000 0.8386 0.5000 1
Cl3 0.0505 0.2127 0.1946 1
```

Most intense lines, 15 to 90 degrees two-theta, by angle:
d_spacing  intensity
4.129  49
3.871  100
3.152  16
3.040  18
2.777  34
2.415  23
2.338  21
2.163  23
1.914  30
1.619  20



Diffraction record for NaDyCd2Cl8. The X-ray diffraction stick pattern is computed, not measured: it uses a GGA-PBE-relaxed structure and CuKα.
Neutral-atom scattering factors, no anomalous dispersion.

```
data_NaDyCd2Cl8
_cell_length_a 6.184
_cell_length_b 8.096
_cell_length_c 6.455
_cell_angle_alpha 90.00
_cell_angle_beta 90.09
_cell_angle_gamma 90.00
_space_group_name_H-M_alt 'P 1 2/m 1'
_space_group_IT_number 10
_space_group_name_Hall '-P 2y'
loop_
_atom_site_label
_atom_site_fract_x
_atom_site_fract_y
_atom_site_fract_z
_atom_site_occupancy
Na1 0.000 0.000 0.000 1
Dy1 0.000 0.500 0.000 1
Cd1 0.500 0.241 0.500 1
Cl1 0.231 0.264 0.172 1
Cl2 0.273 0.500 0.670 1
Cl3 0.276 0.000 0.660 1
```

Most intense lines, 15 to 90 degrees two-theta, by angle:
d_spacing  intensity
5.047  17
4.466  100
3.429  20
3.387  37
2.999  27
2.336  36
2.296  54
2.233  26
1.900  24
1.843  17



Diffraction record for Cd2Cl3F. The X-ray diffraction stick pattern is computed, not measured: it uses a GGA-PBE-relaxed structure and CuKα.
Neutral-atom scattering factors, no anomalous dispersion.

```
data_Cd2Cl3F
_cell_length_a 16.005
_cell_length_b 3.842
_cell_length_c 10.195
_cell_angle_alpha 90.00
_cell_angle_beta 104.43
_cell_angle_gamma 90.00
_space_group_name_H-M_alt 'C 1 2/m 1'
_space_group_IT_number 12
_space_group_name_Hall '-C 2y'
loop_
_atom_site_label
_atom_site_fract_x
_atom_site_fract_y
_atom_site_fract_z
_atom_site_occupancy
Cd1 0.089 0.000 0.284 1
Cd2 0.110 0.500 0.950 1
Cl1 0.085 0.000 0.768 1
Cl2 0.137 0.500 0.445 1
Cl3 0.196 0.000 0.113 1
F1 0.043 0.500 0.130 1
```

Most intense lines, 15 to 90 degrees two-theta, by angle:
d_spacing  intensity
4.732  51
3.875  55
3.422  41
3.066  28
2.892  100
2.567  23
2.118  23
2.084  30
2.019  38
1.920  35



Diffraction record for CdCl2F. The X-ray diffraction stick pattern is computed, not measured: it uses a GGA-PBE-relaxed structure and CuKα.
Neutral-atom scattering factors, no anomalous dispersion.

```
data_CdCl2F
_cell_length_a 6.726
_cell_length_b 6.726
_cell_length_c 9.532
_cell_angle_alpha 90.00
_cell_angle_beta 90.00
_cell_angle_gamma 90.00
_space_group_name_H-M_alt 'I -4 2 d'
_space_group_IT_number 122
_space_group_name_Hall 'I -4 2bw'
loop_
_atom_site_label
_atom_site_fract_x
_atom_site_fract_y
_atom_site_fract_z
_atom_site_occupancy
Cd1 0.000 0.000 0.000 1
Cl1 0.215 0.250 0.125 1
F1 0.000 0.000 0.500 1
```

Most intense lines, 15 to 90 degrees two-theta, by angle:
d_spacing  intensity
5.496  71
3.366  100
2.870  28
2.378  31
2.184  16
1.943  66
1.832  18
1.682  11
1.609  13
1.272  20



Diffraction record for K3Cd2Cl3F4. The X-ray diffraction stick pattern is computed, not measured: it uses a GGA-PBE-relaxed structure and CuKα.
Neutral-atom scattering factors, no anomalous dispersion.

```
data_K3Cd2Cl3F4
_cell_length_a 5.208
_cell_length_b 24.243
_cell_length_c 4.479
_cell_angle_alpha 90.00
_cell_angle_beta 90.00
_cell_angle_gamma 90.00
_space_group_name_H-M_alt 'I m m 2'
_space_group_IT_number 44
_space_group_name_Hall 'I 2 -2'
loop_
_atom_site_label
_atom_site_fract_x
_atom_site_fract_y
_atom_site_fract_z
_atom_site_occupancy
K1 0.000 0.000 0.000 1
K2 0.000 0.193 0.997 1
Cd1 0.000 0.387 0.002 1
Cl1 0.000 0.101 0.498 1
Cl2 0.000 0.500 0.003 1
F1 0.000 0.296 0.006 1
F2 0.000 0.383 0.502 1
```

Most intense lines, 15 to 90 degrees two-theta, by angle:
d_spacing  intensity
5.092  39
4.404  63
3.549  52
3.396  100
3.290  80
2.604  78
2.424  37
2.393  37
2.240  64
2.042  40



Diffraction record for NaCdClF2. The X-ray diffraction stick pattern is computed, not measured: it uses a GGA-PBE-relaxed structure and CuKα.
Neutral-atom scattering factors, no anomalous dispersion.

```
data_NaCdClF2
_cell_length_a 3.847
_cell_length_b 3.847
_cell_length_c 12.129
_cell_angle_alpha 90.00
_cell_angle_beta 90.00
_cell_angle_gamma 90.00
_space_group_name_H-M_alt 'I 4 m m'
_space_group_IT_number 107
_space_group_name_Hall 'I 4 -2'
loop_
_atom_site_label
_atom_site_fract_x
_atom_site_fract_y
_atom_site_fract_z
_atom_site_occupancy
Na1 0.000 0.000 0.000 1
Cd1 0.000 0.000 0.692 1
Cl1 0.000 0.000 0.323 1
F1 0.000 0.500 0.096 1
```

Most intense lines, 15 to 90 degrees two-theta, by angle:
d_spacing  intensity
3.667  47
2.787  100
2.721  30
2.482  24
2.052  18
2.024  24
1.924  26
1.834  12
1.623  24
1.583  33



Diffraction record for Rb3Cd2Cl4F3. The X-ray diffraction stick pattern is computed, not measured: it uses a GGA-PBE-relaxed structure and CuKα.
Neutral-atom scattering factors, no anomalous dispersion.

```
data_Rb3Cd2Cl4F3
_cell_length_a 4.553
_cell_length_b 25.795
_cell_length_c 5.326
_cell_angle_alpha 90.00
_cell_angle_beta 90.00
_cell_angle_gamma 90.00
_space_group_name_H-M_alt 'I m m 2'
_space_group_IT_number 44
_space_group_name_Hall 'I 2 -2'
loop_
_atom_site_label
_atom_site_fract_x
_atom_site_fract_y
_atom_site_fract_z
_atom_site_occupancy
Rb1 0.000 0.000 0.000 1
Rb2 0.000 0.181 0.897 1
Cd1 0.000 0.412 0.883 1
Cl1 0.000 0.310 0.884 1
Cl2 0.000 0.412 0.372 1
F1 0.000 0.086 0.349 1
F2 0.000 0.500 0.848 1
```

Most intense lines, 15 to 90 degrees two-theta, by angle:
d_spacing  intensity
3.705  54
3.461  100
3.414  69
2.864  22
2.663  45
2.579  25
2.277  36
2.100  27
2.068  21
1.730  23



Diffraction record for Rb3Cd2Cl3F4. The X-ray diffraction stick pattern is computed, not measured: it uses a GGA-PBE-relaxed structure and CuKα.
Neutral-atom scattering factors, no anomalous dispersion.

```
data_Rb3Cd2Cl3F4
_cell_length_a 4.522
_cell_length_b 5.222
_cell_length_c 25.032
_cell_angle_alpha 90.00
_cell_angle_beta 90.00
_cell_angle_gamma 90.00
_space_group_name_H-M_alt 'I m m m'
_space_group_IT_number 71
_space_group_name_Hall '-I 2 2'
loop_
_atom_site_label
_atom_site_fract_x
_atom_site_fract_y
_atom_site_fract_z
_atom_site_occupancy
Rb1 0.000 0.000 0.000 1
Rb2 0.000 0.000 0.194 1
Cd1 0.000 0.000 0.390 1
Cl1 0.000 0.000 0.500 1
Cl2 0.000 0.500 0.400 1
F1 0.000 0.000 0.301 1
F2 0.000 0.500 0.114 1
```

Most intense lines, 15 to 90 degrees two-theta, by angle:
d_spacing  intensity
3.614  72
3.419  100
3.356  87
2.611  54
2.503  38
2.261  35
2.061  44
2.020  37
1.807  28
1.709  28



Diffraction record for Rb3Cd2Cl5F2. The X-ray diffraction stick pattern is computed, not measured: it uses a GGA-PBE-relaxed structure and CuKα.
Neutral-atom scattering factors, no anomalous dispersion.

```
data_Rb3Cd2Cl5F2
_cell_length_a 5.332
_cell_length_b 5.332
_cell_length_c 24.261
_cell_angle_alpha 90.00
_cell_angle_beta 90.00
_cell_angle_gamma 90.00
_space_group_name_H-M_alt 'I 4/m m m'
_space_group_IT_number 139
_space_group_name_Hall '-I 4 2'
loop_
_atom_site_label
_atom_site_fract_x
_atom_site_fract_y
_atom_site_fract_z
_atom_site_occupancy
Rb1 0.000 0.000 0.000 1
Rb2 0.000 0.000 0.192 1
Cd1 0.000 0.000 0.391 1
Cl1 0.000 0.000 0.500 1
Cl2 0.000 0.500 0.106 1
F1 0.000 0.000 0.301 1
```

Most intense lines, 15 to 90 degrees two-theta, by angle:
d_spacing  intensity
3.771  63
3.589  100
2.758  13
2.666  72
2.426  22
2.140  49
2.040  20
1.885  24
1.794  33
1.489  17



Diffraction record for Rb2CdClF6. The X-ray diffraction stick pattern is computed, not measured: it uses a GGA-PBE-relaxed structure and CuKα.
Neutral-atom scattering factors, no anomalous dispersion.

```
data_Rb2CdClF6
_cell_length_a 6.141
_cell_length_b 6.141
_cell_length_c 10.328
_cell_angle_alpha 90.00
_cell_angle_beta 90.00
_cell_angle_gamma 90.00
_space_group_name_H-M_alt 'I 4/m m m'
_space_group_IT_number 139
_space_group_name_Hall '-I 4 2'
loop_
_atom_site_label
_atom_site_fract_x
_atom_site_fract_y
_atom_site_fract_z
_atom_site_occupancy
Rb1 0.000 0.500 0.250 1
Cd1 0.000 0.000 0.000 1
Cl1 0.000 0.000 0.500 1
F1 0.000 0.000 0.207 1
F2 0.240 0.240 0.500 1
```

Most intense lines, 15 to 90 degrees two-theta, by angle:
d_spacing  intensity
5.278  24
3.323  100
3.070  39
2.582  27
2.171  34
1.976  19
1.818  34
1.662  25
1.600  14
1.288  13



Diffraction record for Rb3Cd2Cl2F5. The X-ray diffraction stick pattern is computed, not measured: it uses a GGA-PBE-relaxed structure and CuKα.
Neutral-atom scattering factors, no anomalous dispersion.

```
data_Rb3Cd2Cl2F5
_cell_length_a 4.600
_cell_length_b 4.600
_cell_length_c 24.960
_cell_angle_alpha 90.00
_cell_angle_beta 90.00
_cell_angle_gamma 90.00
_space_group_name_H-M_alt 'I 4/m m m'
_space_group_IT_number 139
_space_group_name_Hall '-I 4 2'
loop_
_atom_site_label
_atom_site_fract_x
_atom_site_fract_y
_atom_site_fract_z
_atom_site_occupancy
Rb1 0.000 0.000 0.000 1
Rb2 0.000 0.000 0.170 1
Cd1 0.000 0.000 0.411 1
Cl1 0.000 0.000 0.308 1
F1 0.000 0.000 0.500 1
F2 0.000 0.500 0.086 1
```

Most intense lines, 15 to 90 degrees two-theta, by angle:
d_spacing  intensity
3.383  86
3.253  100
2.818  59
2.300  65
1.902  35
1.782  30
1.752  19
1.626  20
1.543  22
1.455  17



Diffraction record for Tl3Cd2Cl3F4. The X-ray diffraction stick pattern is computed, not measured: it uses a GGA-PBE-relaxed structure and CuKα.
Neutral-atom scattering factors, no anomalous dispersion.

```
data_Tl3Cd2Cl3F4
_cell_length_a 5.259
_cell_length_b 24.722
_cell_length_c 4.462
_cell_angle_alpha 90.00
_cell_angle_beta 90.00
_cell_angle_gamma 90.00
_space_group_name_H-M_alt 'I m m 2'
_space_group_IT_number 44
_space_group_name_Hall 'I 2 -2'
loop_
_atom_site_label
_atom_site_fract_x
_atom_site_fract_y
_atom_site_fract_z
_atom_site_occupancy
Tl1 0.000 0.000 0.000 1
Tl2 0.000 0.196 0.997 1
Cd1 0.000 0.389 0.002 1
Cl1 0.000 0.101 0.498 1
Cl2 0.000 0.500 0.003 1
F1 0.000 0.299 0.006 1
F2 0.000 0.385 0.502 1
```

Most intense lines, 15 to 90 degrees two-theta, by angle:
d_spacing  intensity
3.602  89
3.402  100
3.312  89
2.627  65
2.472  30
2.231  26
2.059  49
2.000  41
1.897  31
1.801  22



Diffraction record for UCdCl2F6. The X-ray diffraction stick pattern is computed, not measured: it uses a GGA-PBE-relaxed structure and CuKα.
Neutral-atom scattering factors, no anomalous dispersion.

```
data_UCdCl2F6
_cell_length_a 6.127
_cell_length_b 9.558
_cell_length_c 6.986
_cell_angle_alpha 90.00
_cell_angle_beta 90.00
_cell_angle_gamma 90.00
_space_group_name_H-M_alt 'C m m m'
_space_group_IT_number 65
_space_group_name_Hall '-C 2 2'
loop_
_atom_site_label
_atom_site_fract_x
_atom_site_fract_y
_atom_site_fract_z
_atom_site_occupancy
U1 0.000 0.000 0.000 1
Cd1 0.000 0.500 0.500 1
Cl1 0.000 0.251 0.500 1
F1 0.000 0.212 0.000 1
F2 0.240 0.000 0.210 1
```

Most intense lines, 15 to 90 degrees two-theta, by angle:
d_spacing  intensity
4.779  27
4.150  100
3.493  20
3.063  13
2.620  25
2.390  13
2.303  23
2.122  17
1.920  12
1.658  15